# HfMg6CO8
Calculated powder diffraction line list, Cu Kα (λ = 1.5418 Å). Input: a DFT-relaxed cell (PBE, Alexandria).
Peak positions follow from Bragg's law for the DFT cell and can differ from measured ones.

Atomic structure:
```
HfMg6CO8
1.0
4.1942 0.0000 0.0000
0.0000 4.1942 0.0000
0.0000 0.0000 9.6914
Hf Mg C O
1 6 1 8
Direct
0.0000 0.0000 0.0000
0.0000 0.5000 0.2876
0.0000 0.5000 0.7124
0.5000 0.0000 0.2876
0.5000 0.0000 0.7124
0.5000 0.5000 0.0000
0.5000 0.5000 0.5000
0.0000 0.0000 0.5000
0.0000 0.0000 0.2111
0.0000 0.0000 0.7889
0.0000 0.5000 0.0000
0.0000 0.5000 0.5000
0.5000 0.0000 0.0000
0.5000 0.0000 0.5000
0.5000 0.5000 0.2676
0.5000 0.5000 0.7324
```

Most intense lines, 15 to 90 degrees two-theta, low angle first:
21.18°, I 36
23.11°, I 100
28.14°, I 38
31.55°, I 55
35.49°, I 44
37.11°, I 41
43.13°, I 77
58.18°, I 39

# HfMn22C6
Calculated powder diffraction line list, Cu Kα (λ = 1.5418 Å). Input: a DFT-relaxed cell (PBE, Alexandria).
Peak positions follow from Bragg's law for the DFT cell and can differ from measured ones.

Atomic structure:
```
HfMn22C6
1.0
0.0000 5.2388 5.2388
5.2388 0.0000 5.2388
5.2388 5.2388 0.0000
Hf Mn C
1 22 6
Direct
0.0000 0.0000 0.0000
0.0000 0.0000 0.3499
0.0000 0.0000 0.6501
0.0000 0.3499 0.0000
0.0000 0.3499 0.6501
0.0000 0.6501 0.0000
0.0000 0.6501 0.3499
0.1484 0.6172 0.6172
0.2500 0.2500 0.2500
0.3499 0.0000 0.0000
0.3499 0.0000 0.6501
0.3499 0.6501 0.0000
0.3828 0.3828 0.3828
0.3828 0.3828 0.8516
0.3828 0.8516 0.3828
0.6172 0.1484 0.6172
0.6172 0.6172 0.1484
0.6172 0.6172 0.6172
0.6501 0.0000 0.0000
0.6501 0.0000 0.3499
0.6501 0.3499 0.0000
0.7500 0.7500 0.7500
0.8516 0.3828 0.3828
0.2704 0.2704 0.7296
0.2704 0.7296 0.2704
0.2704 0.7296 0.7296
0.7296 0.2704 0.2704
0.7296 0.2704 0.7296
0.7296 0.7296 0.2704
```

Most intense lines, 15 to 90 degrees two-theta, low angle first:
28.25°, I 17
29.53°, I 9
42.26°, I 35
44.96°, I 100
49.19°, I 26
52.39°, I 15
77.27°, I 22
79.17°, I 15